Structure and calculated PXRD pattern of Tl2Ag2Cl3 (DFT lattice parameters and positions (GGA-PBE); Cu Ka).
Intensities are scaled so that the largest is 100.

Structural model:
a = 7.1692 Å, b = 7.4777 Å, c = 9.8821 Å
α = 90.00°, β = 131.80°, γ = 90.00°
Atoms (fractional coordinates):
Tl 0.1198 0.2349 0.3031
Tl 0.1198 0.2651 0.8031
Tl 0.8802 0.7349 0.1969
Tl 0.8802 0.7651 0.6969
Ag 0.4227 0.5867 0.3435
Ag 0.4227 0.9133 0.8435
Ag 0.5773 0.0867 0.1565
Ag 0.5773 0.4133 0.6565
Cl 0.0000 0.0000 0.5000
Cl 0.0000 0.5000 0.0000
Cl 0.3283 0.5718 0.7335
Cl 0.3283 0.9282 0.2335
Cl 0.6717 0.0718 0.7665
Cl 0.6717 0.4282 0.2665

Principal peaks in the range 2θ = 10–90°, by angle:
| h k l | 2θ/deg | d [Å] | I_rel |
| --- | --- | --- | --- |
| 1 0 -2 | 17.96 | 4.939 | 83 |
| 0 0 2 | 24.16 | 3.683 | 74 |
| 2 1 -2 | 27.67 | 3.224 | 100 |
| 1 2 0 | 29.15 | 3.063 | 64 |
| 1 2 -2 | 29.98 | 2.981 | 90 |
| 2 1 0 | 35.68 | 2.516 | 77 |
| 1 0 -4 | 39.74 | 2.268 | 73 |
| 2 2 -4 | 43.90 | 2.062 | 64 |